Diffraction record for HfZr6Pa. The XRD peak list is simulated, not measured: it uses a GGA-PBE-relaxed structure and CuKα.

Cell and atoms:
a b c (Å): 5.096 6.332 6.332
angles (deg): 67.03 90.00 90.00
Sites, in units of the cell vectors:
Hf (0.000, 0.000, 0.000)
Zr (0.000, 0.510, 0.970)
Zr (0.000, 0.970, 0.510)
Zr (0.500, 0.152, 0.698)
Zr (0.500, 0.194, 0.194)
Zr (0.500, 0.664, 0.664)
Zr (0.500, 0.698, 0.152)
Pa (0.000, 0.455, 0.455)

Principal peaks in the range 2θ from 10° to 90°, in order of rising 2θ:
| d/Å | two_theta | Rel. int. |
| --- | --- | --- |
| 2.915 | 30.7 | 12 |
| 2.676 | 33.5 | 11 |
| 2.640 | 34.0 | 18 |
| 2.548 | 35.2 | 30 |
| 2.530 | 35.5 | 100 |
| 2.344 | 38.4 | 16 |
| 1.833 | 49.7 | 12 |
| 1.748 | 52.3 | 9 |
| 1.468 | 63.4 | 18 |
| 1.442 | 64.7 | 9 |